For Mg2VB2O6, DFT lattice parameters and positions (GGA+U) gives the computed powder diffractogram in this record (λ = 1.5418 Å (Cu Kα)).

Cell and atoms:
```
Mg2VB2O6
1.0
5.017 0.000 0.000
-2.509 4.345 0.000
0.000 0.000 5.623
Mg V B O
2 1 2 6
Direct
0.333 0.667 0.320
0.667 0.333 0.680
0.000 0.000 0.000
0.333 0.667 0.777
0.667 0.333 0.223
0.066 0.682 0.765
0.318 0.384 0.765
0.384 0.066 0.235
0.616 0.934 0.765
0.682 0.616 0.235
0.934 0.318 0.235
```

Main lines, low angle first (2θ from 5° to 70°):
2θ (°), Rel. int., h k l
15.76, 29.1, 0 0 1
25.91, 100.0, 0 1 1
31.83, 26.5, 0 0 2
35.80, 33.9, 1 1 0
38.12, 83.7, 1 0 2
39.33, 54.3, 2 -1 1
44.72, 42.7, 2 0 1
53.28, 24.7, 0 2 2
58.56, 29.5, 1 2 1
61.78, 30.7, 1 1 3
64.32, 26.0, 3 0 0
65.86, 25.3, 3 -1 2